No. 1
For LiPuZn4, a cell relaxed with GGA-PBE gives the calculated powder XRD pattern in this record (a wavelength of 1.5418 Å).

```
data_LiPuZn4
_space_group_name_H-M_alt 'P m m m'
_space_group_IT_number 47
_cell_length_a 2.828
_cell_length_b 4.544
_cell_length_c 8.152
_cell_angle_alpha 90.00
_cell_angle_beta 90.00
_cell_angle_gamma 90.00
loop_
_space_group_symop_operation_xyz
'x,y,z'
'-x,-y,-z'
'-x,-y,z'
'x,y,-z'
'x,-y,-z'
'-x,y,z'
'-x,y,-z'
'x,-y,z'
loop_
_atom_site_label
_atom_site_type_symbol
_atom_site_fract_x
_atom_site_fract_y
_atom_site_fract_z
_atom_site_occupancy
Li1 Li 0.000 0.000 0.000 1
Pu1 Pu 0.000 0.500 0.500 1
Zn1 Zn 0.500 0.000 0.314 1
Zn2 Zn 0.500 0.500 0.154 1
```

Top 10 peaks for 10 to 90 degrees two-theta, in order of rising 2θ:
- 2θ 10.85, d 8.152, I 100.0
- 2θ 19.54, d 4.544, I 35.6
- 2θ 29.44, d 3.034, I 39.3
- 2θ 33.54, d 2.672, I 23.6
- 2θ 38.61, d 2.332, I 65.7
- 2θ 38.76, d 2.323, I 37.9
- 2θ 39.11, d 2.303, I 68.4
- 2θ 39.67, d 2.272, I 32.1
- 2θ 56.66, d 1.624, I 25.0
- 2θ 69.71, d 1.349, I 15.7

***

No. 2
For LiPuZn17, a cell relaxed with GGA-PBE gives the calculated powder XRD pattern in this record (a wavelength of 1.5418 Å).

```
data_LiPuZn17
_space_group_name_H-M_alt 'R 3 m'
_space_group_IT_number 160
_space_group_name_Hall 'R 3 -2"'
_cell_length_a 8.9801
_cell_length_b 8.9801
_cell_length_c 13.1837
_cell_angle_alpha 90.00
_cell_angle_beta 90.00
_cell_angle_gamma 120.00
loop_
_atom_site_label
_atom_site_type_symbol
_atom_site_fract_x
_atom_site_fract_y
_atom_site_fract_z
_atom_site_occupancy
Li1 Li 0.0000 0.0000 0.0000 1
Pu1 Pu 0.0000 0.0000 0.6817 1
Zn1 Zn 0.0000 0.0000 0.2379 1
Zn2 Zn 0.0000 0.0000 0.4421 1
Zn3 Zn 0.0031 0.5015 0.4934 1
Zn4 Zn 0.0350 0.3642 0.0104 1
Zn5 Zn 0.1717 0.3435 0.1800 1
Zn6 Zn 0.1736 0.3472 0.5250 1
```

Top 10 peaks for 10 to 90 degrees two-theta, in order of rising 2θ:
- 2θ 13.22, d 6.698, I 45.6
- 2θ 17.64, d 5.029, I 25.7
- 2θ 34.60, d 2.592, I 37.7
- 2θ 35.71, d 2.514, I 33.0
- 2θ 40.17, d 2.245, I 58.2
- 2θ 40.40, d 2.233, I 100.0
- 2θ 41.10, d 2.196, I 51.8
- 2θ 41.37, d 2.182, I 24.9
- 2θ 45.36, d 1.999, I 43.9
- 2θ 73.01, d 1.296, I 26.9